Calculated powder diffraction line list
Compound: K3RbTl2Cl6
Radiation: Cu Kα X-rays
Structure: the PBE geometry in Alexandria
No peak broadening, texture or thermal motion is included.

Structure:
abc: 7.9174 13.7158 7.9491
angles: 90.00 109.38 90.00
Space group C2/m (No. 12)
One atom of each set of equivalent atoms:
K (0.0000, 0.0000, 0.0000) x2
K (0.0000, 0.3325, 0.0000) x4
Rb (0.0000, 0.5000, 0.5000) x2
Tl (0.0000, 0.1665, 0.5000) x4
Cl (0.2455, 0.1683, 0.2410) x8
Cl (0.2493, 0.5000, 0.2388) x4

Main lines, by angle (2θ = 10–80°):
2θ 11.8, I 37.9, (0 0 1); 2θ 22.8, I 29.8, (1 3 0); 2θ 23.8, I 30.2, (2 0 0); 2θ 27.6, I 100.0, (1 3 1); 2θ 39.3, I 36.8, (2 0 2); 2θ 39.4, I 36.7, (0 6 0); 2θ 48.8, I 19.3, (4 0 0); 2θ 71.4, I 17.8, (6 0 -2)